(1)
For Ac4MgPb2, DFT lattice parameters and positions (PBE) gives the computed powder XRD pattern in this record (a wavelength of 1.5418 Å).
Lines closer than 0.1° are merged.

Structural model:
```
data_Ac4MgPb2
_chemical_formula_sum 'Ac8 Mg2 Pb4'
_space_group_name_H-M_alt 'P m m n'
_space_group_IT_number 59
_cell_length_a 7.3633
_cell_length_b 10.8178
_cell_length_c 6.7022
_cell_angle_alpha 90.00
_cell_angle_beta 90.00
_cell_angle_gamma 90.00
loop_
_space_group_symop_operation_xyz
'x,y,z'
'-x,-y,-z'
'-x+1/2,-y+1/2,z'
'x+1/2,y+1/2,-z'
'x+1/2,-y,-z'
'-x+1/2,y,z'
'-x,y+1/2,-z'
'x,-y+1/2,z'
loop_
_atom_site_label
_atom_site_type_symbol
_atom_site_fract_x
_atom_site_fract_y
_atom_site_fract_z
Ac1 Ac 0.0042 0.2500 0.1036
Ac2 Ac 0.2500 0.5650 0.3444
Mg1 Mg 0.2500 0.2500 0.5778
Pb1 Pb 0.2500 0.0238 0.8300
```

Top 10 peaks for 10 to 90 degrees two-theta, in order of rising 2θ:
2θ = 27.9°, rel. 20, hkl 0 1 2; 2θ = 28.1°, rel. 36, hkl 0 3 1; 2θ = 28.9°, rel. 27, hkl 2 1 1; 2θ = 29.3°, rel. 100, hkl 2 2 0; 2θ = 32.3°, rel. 14, hkl 2 2 1; 2θ = 33.7°, rel. 33, hkl 1 2 2; 2θ = 44.4°, rel. 15, hkl 2 3 2; 2θ = 45.8°, rel. 14, hkl 3 0 2; 2θ = 49.5°, rel. 21, hkl 4 0 0; 2θ = 50.8°, rel. 19, hkl 2 5 1

=====

(2)
For AcMg6Pb12, DFT lattice parameters and positions (PBE) gives the computed powder XRD pattern in this record (a wavelength of 1.5418 Å).
Lines closer than 0.1° are merged.

Structural model:
```
data_AcMg6Pb12
_chemical_formula_sum 'Ac3 Mg18 Pb36'
_space_group_name_H-M_alt 'R -3 m'
_space_group_IT_number 166
_space_group_name_Hall '-R 3 2"'
_cell_length_a 14.1228
_cell_length_b 14.1228
_cell_length_c 10.0061
_cell_angle_alpha 90.00
_cell_angle_beta 90.00
_cell_angle_gamma 120.00
loop_
_atom_site_label
_atom_site_type_symbol
_atom_site_fract_x
_atom_site_fract_y
_atom_site_fract_z
Ac1 Ac 0.0000 0.0000 0.0000
Mg1 Mg 0.0571 0.5285 0.2308
Pb1 Pb 0.0000 0.3880 0.5000
Pb2 Pb 0.0810 0.1619 0.2956
```

Top 10 peaks for 10 to 90 degrees two-theta, in order of rising 2θ:
2θ = 19.2°, rel. 28, hkl 0 1 2; 2θ = 27.8°, rel. 100, hkl 1 3 1; 2θ = 29.6°, rel. 46, hkl 1 1 3; 2θ = 33.2°, rel. 18, hkl 3 2 1; 2θ = 34.8°, rel. 27, hkl 0 3 3; 2θ = 36.7°, rel. 21, hkl 2 3 2; 2θ = 38.9°, rel. 15, hkl 0 2 4; 2θ = 40.0°, rel. 19, hkl 2 4 1; 2θ = 41.1°, rel. 42, hkl 5 0 2; 2θ = 53.2°, rel. 18, hkl 3 1 5

=====

(3)
For Ac2Mg3Pb, DFT lattice parameters and positions (PBE) gives the computed powder XRD pattern in this record (a wavelength of 1.5418 Å).
Lines closer than 0.1° are merged.

Structural model:
```
data_Ac2Mg3Pb
_chemical_formula_sum 'Ac2 Mg3 Pb1'
_space_group_name_H-M_alt 'P m m 2'
_space_group_IT_number 25
_cell_length_a 3.8474
_cell_length_b 5.3857
_cell_length_c 9.2317
_cell_angle_alpha 90.00
_cell_angle_beta 90.00
_cell_angle_gamma 90.00
loop_
_space_group_symop_operation_xyz
'x,y,z'
'-x,-y,z'
'-x,y,z'
'x,-y,z'
loop_
_atom_site_label
_atom_site_type_symbol
_atom_site_fract_x
_atom_site_fract_y
_atom_site_fract_z
Ac1 Ac 0.0000 0.0000 0.0000
Ac2 Ac 0.0000 0.5000 0.4922
Mg1 Mg 0.5000 0.0000 0.6701
Mg2 Mg 0.5000 0.5000 0.1572
Mg3 Mg 0.5000 0.5000 0.8261
Pb1 Pb 0.5000 0.0000 0.3343
```

Top 10 peaks for 10 to 90 degrees two-theta, in order of rising 2θ:
2θ = 19.1°, rel. 30, hkl 0 1 1; 2θ = 19.2°, rel. 16, hkl 0 0 2; 2θ = 30.2°, rel. 100, hkl 1 1 1; 2θ = 33.3°, rel. 19, hkl 0 2 0; 2θ = 33.5°, rel. 36, hkl 0 1 3; 2θ = 45.6°, rel. 21, hkl 1 2 2; 2θ = 45.8°, rel. 11, hkl 1 0 4; 2θ = 57.5°, rel. 11, hkl 1 3 1; 2θ = 57.8°, rel. 11, hkl 1 2 4; 2θ = 59.2°, rel. 15, hkl 2 1 3

=====

(4)
For Ac6MgPb3, DFT lattice parameters and positions (PBE) gives the computed powder XRD pattern in this record (a wavelength of 1.5418 Å).
Lines closer than 0.1° are merged.

Structural model:
```
data_Ac6MgPb3
_chemical_formula_sum 'Ac24 Mg4 Pb12'
_space_group_name_H-M_alt 'C m c m'
_space_group_IT_number 63
_space_group_name_Hall '-C 2c 2'
_cell_length_a 12.8301
_cell_length_b 12.5268
_cell_length_c 9.6716
_cell_angle_alpha 90.00
_cell_angle_beta 90.00
_cell_angle_gamma 90.00
loop_
_atom_site_label
_atom_site_type_symbol
_atom_site_fract_x
_atom_site_fract_y
_atom_site_fract_z
Ac1 Ac 0.0000 0.1643 0.0049
Ac2 Ac 0.1675 0.5000 0.0000
Ac3 Ac 0.2488 0.2459 0.7500
Mg1 Mg 0.0000 0.3788 0.7500
Pb1 Pb 0.0000 0.3718 0.2500
Pb2 Pb 0.1339 0.0018 0.2500
```

Top 10 peaks for 10 to 90 degrees two-theta, in order of rising 2θ:
2θ = 27.1°, rel. 58, hkl 2 2 2; 2θ = 28.8°, rel. 100, hkl 3 1 2; 2θ = 29.1°, rel. 87, hkl 1 3 2; 2θ = 31.3°, rel. 49, hkl 4 2 0; 2θ = 31.8°, rel. 40, hkl 2 4 0; 2θ = 37.2°, rel. 37, hkl 0 0 4; 2θ = 49.4°, rel. 28, hkl 4 2 4; 2θ = 49.7°, rel. 24, hkl 2 4 4; 2θ = 55.9°, rel. 18, hkl 4 6 2; 2θ = 62.1°, rel. 20, hkl 6 6 0

=====

(5)
For Ac2MgPd6Pb, DFT lattice parameters and positions (PBE) gives the computed powder XRD pattern in this record (a wavelength of 1.5418 Å).
Lines closer than 0.1° are merged.

Structural model:
```
data_Ac2MgPd6Pb
_chemical_formula_sum 'Ac2 Mg1 Pd6 Pb1'
_space_group_name_H-M_alt 'P -1'
_space_group_IT_number 2
_cell_length_a 5.7117
_cell_length_b 6.8841
_cell_length_c 6.9875
_cell_angle_alpha 81.51
_cell_angle_beta 65.88
_cell_angle_gamma 65.52
loop_
_space_group_symop_operation_xyz
'x,y,z'
'-x,-y,-z'
loop_
_atom_site_label
_atom_site_type_symbol
_atom_site_fract_x
_atom_site_fract_y
_atom_site_fract_z
Ac1 Ac 0.2469 0.2838 0.2228
Mg1 Mg 0.5000 0.5000 0.5000
Pd1 Pd 0.2418 0.2686 0.7571
Pd2 Pd 0.2551 0.9233 0.5693
Pd3 Pd 0.2655 0.7323 0.2444
Pb1 Pb 0.0000 0.0000 0.0000
```

Top 10 peaks for 10 to 90 degrees two-theta, in order of rising 2θ:
2θ = 14.1°, rel. 19, hkl 0 1 0; 2θ = 27.2°, rel. 100, hkl 1 0 -1; 2θ = 27.5°, rel. 48, hkl 1 2 1; 2θ = 37.2°, rel. 63, hkl 2 0 2; 2θ = 37.5°, rel. 51, hkl 2 2 2; 2θ = 39.2°, rel. 42, hkl 1 0 3; 2θ = 39.8°, rel. 63, hkl 0 2 -2; 2θ = 40.9°, rel. 46, hkl 0 2 2; 2θ = 56.2°, rel. 23, hkl 2 2 4; 2θ = 56.8°, rel. 18, hkl 2 -2 0

=====

(6)
For AcMgPdPt, DFT lattice parameters and positions (PBE) gives the computed powder XRD pattern in this record (a wavelength of 1.5418 Å).
Lines closer than 0.1° are merged.

Structural model:
```
data_AcMgPdPt
_chemical_formula_sum 'Ac3 Mg3 Pd3 Pt3'
_space_group_name_H-M_alt 'R 3 m'
_space_group_IT_number 160
_space_group_name_Hall 'R 3 -2"'
_cell_length_a 4.5527
_cell_length_b 4.5527
_cell_length_c 15.4985
_cell_angle_alpha 90.00
_cell_angle_beta 90.00
_cell_angle_gamma 120.00
loop_
_atom_site_label
_atom_site_type_symbol
_atom_site_fract_x
_atom_site_fract_y
_atom_site_fract_z
Ac1 Ac 0.0000 0.0000 0.0000
Mg1 Mg 0.0000 0.0000 0.5033
Pd1 Pd 0.0000 0.0000 0.7903
Pt1 Pt 0.0000 0.0000 0.2121
```

Top 10 peaks for 10 to 90 degrees two-theta, in order of rising 2θ:
2θ = 23.3°, rel. 100, hkl 1 0 1; 2θ = 32.4°, rel. 100, hkl 1 0 4; 2θ = 36.9°, rel. 92, hkl 0 1 5; 2θ = 39.6°, rel. 99, hkl 1 1 0; 2θ = 52.0°, rel. 27, hkl 0 2 4; 2θ = 55.2°, rel. 29, hkl 2 0 5; 2θ = 64.6°, rel. 18, hkl 1 0 10; 2θ = 67.3°, rel. 25, hkl 2 1 4; 2θ = 68.3°, rel. 27, hkl 1 1 9; 2θ = 70.1°, rel. 29, hkl 1 2 5

=====

(7)
For AcMg2SiPd4, DFT lattice parameters and positions (PBE) gives the computed powder XRD pattern in this record (a wavelength of 1.5418 Å).
Lines closer than 0.1° are merged.

Structural model:
```
data_AcMg2SiPd4
_chemical_formula_sum 'Ac3 Mg6 Si3 Pd12'
_space_group_name_H-M_alt 'R -3 m'
_space_group_IT_number 166
_space_group_name_Hall '-R 3 2"'
_cell_length_a 4.4208
_cell_length_b 4.4208
_cell_length_c 27.1381
_cell_angle_alpha 90.00
_cell_angle_beta 90.00
_cell_angle_gamma 120.00
loop_
_atom_site_label
_atom_site_type_symbol
_atom_site_fract_x
_atom_site_fract_y
_atom_site_fract_z
Ac1 Ac 0.0000 0.0000 0.0000
Mg1 Mg 0.0000 0.0000 0.2352
Si1 Si 0.0000 0.0000 0.5000
Pd1 Pd 0.0000 0.0000 0.1373
Pd2 Pd 0.0000 0.0000 0.4082
```

Top 10 peaks for 10 to 90 degrees two-theta, in order of rising 2θ:
2θ = 23.5°, rel. 16, hkl 1 0 1; 2θ = 24.2°, rel. 42, hkl 0 1 2; 2θ = 28.5°, rel. 50, hkl 0 1 5; 2θ = 32.9°, rel. 77, hkl 1 0 7; 2θ = 35.4°, rel. 48, hkl 0 1 8; 2θ = 40.8°, rel. 100, hkl 1 1 0; 2θ = 53.4°, rel. 20, hkl 0 2 7; 2θ = 66.9°, rel. 28, hkl 1 1 15; 2θ = 69.3°, rel. 18, hkl 2 1 7; 2θ = 74.3°, rel. 19, hkl 3 0 0

=====

(8)
For AcMg2Si2Pd, DFT lattice parameters and positions (PBE) gives the computed powder XRD pattern in this record (a wavelength of 1.5418 Å).
Lines closer than 0.1° are merged.

Structural model:
```
data_AcMg2Si2Pd
_chemical_formula_sum 'Ac2 Mg4 Si4 Pd2'
_space_group_name_H-M_alt 'I 4/m m m'
_space_group_IT_number 139
_space_group_name_Hall '-I 4 2'
_cell_length_a 5.0706
_cell_length_b 5.0706
_cell_length_c 11.4518
_cell_angle_alpha 90.00
_cell_angle_beta 90.00
_cell_angle_gamma 90.00
loop_
_atom_site_label
_atom_site_type_symbol
_atom_site_fract_x
_atom_site_fract_y
_atom_site_fract_z
Ac1 Ac 0.0000 0.0000 0.0000
Mg1 Mg 0.0000 0.5000 0.2500
Si1 Si 0.0000 0.0000 0.2998
Pd1 Pd 0.0000 0.0000 0.5000
```

Top 10 peaks for 10 to 90 degrees two-theta, in order of rising 2θ:
2θ = 15.5°, rel. 51, hkl 0 0 2; 2θ = 24.8°, rel. 78, hkl 1 1 0; 2θ = 29.4°, rel. 100, hkl 1 1 2; 2θ = 31.2°, rel. 31, hkl 0 0 4; 2θ = 35.4°, rel. 53, hkl 2 0 0; 2θ = 38.8°, rel. 23, hkl 2 0 2; 2θ = 40.3°, rel. 34, hkl 1 1 4; 2θ = 47.9°, rel. 37, hkl 2 0 4; 2θ = 54.5°, rel. 25, hkl 1 1 6; 2θ = 59.9°, rel. 30, hkl 3 1 2